# 1
Simulated X-ray powder pattern
Compound: Sr3Sn5
Radiation: CuKα
Structure: the PBE geometry in the Materials Project
Lines closer than 0.1° are merged.

Structure:
a = 6.9138 Å, b = 6.9138 Å, c = 11.0073 Å
α = 90.00°, β = 90.00°, γ = 77.65°
Element x y z (fractional)
Sr 0.1459 0.8541 0.7500
Sr 0.2972 0.2972 0.0000
Sr 0.2972 0.2972 0.5000
Sr 0.7028 0.7028 0.0000
Sr 0.7028 0.7028 0.5000
Sr 0.8541 0.1459 0.2500
Sn 0.0077 0.5915 0.2500
Sn 0.1878 0.8122 0.0532
Sn 0.1878 0.8122 0.4468
Sn 0.4085 0.9923 0.2500
Sn 0.4575 0.5425 0.2500
Sn 0.5425 0.4575 0.7500
Sn 0.5915 0.0077 0.7500
Sn 0.8122 0.1878 0.5532
Sn 0.8122 0.1878 0.9468
Sn 0.9923 0.4085 0.7500

Peak list (10 most intense, 15 to 90 degrees two-theta, low angle first)
d 5.756, 2θ = 15.39°, I 21.1
d 3.227, 2θ = 27.65°, I 28.6
d 2.878, 2θ = 31.07°, I 100.0
d 2.841, 2θ = 31.49°, I 35.6
d 2.791, 2θ = 32.07°, I 39.5
d 2.752, 2θ = 32.54°, I 36.6
d 2.693, 2θ = 33.27°, I 26.1
d 2.485, 2θ = 36.15°, I 35.9
d 2.461, 2θ = 36.51°, I 39.7
d 1.727, 2θ = 53.02°, I 22.3

***

# 2
Simulated X-ray powder pattern
Compound: NaSi34
Radiation: CuKα
Structure: the PBE geometry in the Materials Project
Lines closer than 0.1° are merged.

Structure:
a = 10.4094 Å, b = 10.4094 Å, c = 10.4094 Å
α = 60.00°, β = 60.00°, γ = 60.00°
Element x y z (fractional)
Na 0.0000 0.0000 0.0000
Si 0.2543 0.2543 0.6306
Si 0.2543 0.2543 0.8609
Si 0.2543 0.6306 0.2543
Si 0.2543 0.6306 0.8609
Si 0.2543 0.8609 0.2543
Si 0.2543 0.8609 0.6306
Si 0.3889 0.6198 0.9956
Si 0.3889 0.9956 0.6198
Si 0.3889 0.9956 0.9956
Si 0.4078 0.4078 0.4078
Si 0.4078 0.4078 0.7765
Si 0.4078 0.7765 0.4078
Si 0.4732 0.8423 0.8423
Si 0.5000 0.5000 0.5000
Si 0.6198 0.3889 0.9956
Si 0.6198 0.9956 0.3889
Si 0.6198 0.9956 0.9956
Si 0.6306 0.2543 0.2543
Si 0.6306 0.2543 0.8609
Si 0.6306 0.8609 0.2543
Si 0.7500 0.7500 0.7500
Si 0.7765 0.4078 0.4078
Si 0.8423 0.4732 0.8423
Si 0.8423 0.8423 0.4732
Si 0.8423 0.8423 0.8423
Si 0.8609 0.2543 0.2543
Si 0.8609 0.2543 0.6306
Si 0.8609 0.6306 0.2543
Si 0.9956 0.3889 0.6198
Si 0.9956 0.3889 0.9956
Si 0.9956 0.6198 0.3889
Si 0.9956 0.6198 0.9956
Si 0.9956 0.9956 0.3889
Si 0.9956 0.9956 0.6198

Peak list (10 most intense, 15 to 90 degrees two-theta, low angle first)
d 5.205, 2θ = 17.04°, I 24.4
d 4.439, 2θ = 20.00°, I 55.8
d 4.250, 2θ = 20.90°, I 38.3
d 3.005, 2θ = 29.73°, I 23.6
d 2.833, 2θ = 31.58°, I 59.0
d 2.488, 2θ = 36.10°, I 59.8
d 1.798, 2θ = 50.76°, I 35.6
d 1.735, 2θ = 52.77°, I 100.0
d 1.700, 2θ = 53.94°, I 30.1
d 1.194, 2θ = 80.43°, I 24.3

***

# 3
Simulated X-ray powder pattern
Compound: Al2Si2H4O9
Radiation: CuKα
Structure: the PBE geometry in the Materials Project
Lines closer than 0.1° are merged.

Structure:
a = 5.2268 Å, b = 5.2268 Å, c = 14.9032 Å
α = 97.97°, β = 97.97°, γ = 60.07°
Element x y z (fractional)
Al 0.0659 0.9341 0.5000
Al 0.2667 0.4044 0.0001
Al 0.4044 0.2667 0.5001
Al 0.9341 0.0659 0.0000
Si 0.0128 0.4504 0.1865
Si 0.1370 0.6694 0.6876
Si 0.4504 0.0128 0.6865
Si 0.6694 0.1370 0.1876
H 0.0140 0.2484 0.3763
H 0.2484 0.0140 0.8763
H 0.3540 0.5595 0.3711
H 0.4110 0.7648 0.0866
H 0.5595 0.3540 0.8711
H 0.6957 0.8540 0.3818
H 0.7648 0.4110 0.5866
H 0.8540 0.6957 0.8818
O 0.0092 0.3716 0.0774
O 0.1080 0.1945 0.4368
O 0.1471 0.6228 0.5778
O 0.1945 0.1080 0.9368
O 0.2276 0.7566 0.0746
O 0.2749 0.8837 0.7341
O 0.3288 0.5849 0.4358
O 0.3427 0.3509 0.7331
O 0.3509 0.3427 0.2331
O 0.3716 0.0092 0.5774
O 0.5849 0.3288 0.9358
O 0.6228 0.1471 0.0778
O 0.7165 0.9735 0.4348
O 0.7566 0.2276 0.5746
O 0.8013 0.8053 0.7179
O 0.8053 0.8013 0.2179
O 0.8837 0.2749 0.2341
O 0.9735 0.7165 0.9348

Peak list (10 most intense, 15 to 90 degrees two-theta, low angle first)
d 4.515, 2θ = 19.66°, I 58.2
d 4.466, 2θ = 19.88°, I 67.6
d 4.418, 2θ = 20.10°, I 45.9
d 4.222, 2θ = 21.04°, I 82.6
d 3.678, 2θ = 24.20°, I 100.0
d 3.572, 2θ = 24.92°, I 29.6
d 3.092, 2θ = 28.87°, I 26.5
d 2.490, 2θ = 36.07°, I 50.1
d 2.465, 2θ = 36.45°, I 39.1
d 2.433, 2θ = 36.95°, I 54.9

***

# 4
Simulated X-ray powder pattern
Compound: Ba2PrIrO6
Radiation: CuKα
Structure: the PBE geometry in the Materials Project
Lines closer than 0.1° are merged.

Structure:
a = 6.1019 Å, b = 6.1019 Å, c = 6.1019 Å
α = 60.00°, β = 60.00°, γ = 60.00°
Element x y z (fractional)
Ba 0.2500 0.2500 0.2500
Ba 0.7500 0.7500 0.7500
Pr 0.0000 0.0000 0.0000
Ir 0.5000 0.5000 0.5000
O 0.2700 0.2700 0.7300
O 0.2700 0.7300 0.2700
O 0.2700 0.7300 0.7300
O 0.7300 0.2700 0.2700
O 0.7300 0.2700 0.7300
O 0.7300 0.7300 0.2700

Peak list (10 most intense, 15 to 90 degrees two-theta, low angle first)
d 4.982, 2θ = 17.80°, I 2.4
d 4.315, 2θ = 20.59°, I 4.1
d 3.051, 2θ = 29.27°, I 100.0
d 2.157, 2θ = 41.87°, I 28.2
d 1.930, 2θ = 47.10°, I 1.7
d 1.761, 2θ = 51.91°, I 40.9
d 1.525, 2θ = 60.71°, I 17.9
d 1.364, 2θ = 68.81°, I 18.5
d 1.246, 2θ = 76.48°, I 5.9
d 1.153, 2θ = 83.91°, I 21.9

***

# 5
Simulated X-ray powder pattern
Compound: SrLaGaCuO5
Radiation: CuKα
Structure: the PBE geometry in the Materials Project
Lines closer than 0.1° are merged.

Structure:
a = 5.3756 Å, b = 5.6486 Å, c = 9.1599 Å
α = 72.07°, β = 73.22°, γ = 89.89°
Element x y z (fractional)
Sr 0.0000 0.0000 0.0000
Sr 0.4988 0.5358 0.0000
La 0.2109 0.2551 0.5687
La 0.7100 0.7134 0.5681
Ga 0.3285 0.9435 0.2765
Ga 0.8279 0.3165 0.2764
Cu 0.1072 0.6283 0.7843
Cu 0.6081 0.1237 0.7845
O 0.3106 0.7038 0.4696
O 0.3554 0.3724 0.7785
O 0.3772 0.8938 0.7483
O 0.4693 0.2440 0.2920
O 0.4885 0.9264 0.0759
O 0.8095 0.3640 0.4690
O 0.8559 0.3856 0.7776
O 0.8794 0.8974 0.7439
O 0.9700 0.0003 0.2917
O 0.9858 0.5331 0.0756

Peak list (10 most intense, 15 to 90 degrees two-theta, low angle first)
d 2.847, 2θ = 31.43°, I 100.0
d 2.835, 2θ = 31.56°, I 96.1
d 2.824, 2θ = 31.68°, I 54.3
d 2.688, 2θ = 33.34°, I 57.6
d 2.261, 2θ = 39.87°, I 20.7
d 2.252, 2θ = 40.05°, I 19.8
d 2.076, 2θ = 43.59°, I 23.5
d 1.947, 2θ = 46.65°, I 50.1
d 1.633, 2θ = 56.35°, I 23.7
d 1.583, 2θ = 58.30°, I 18.7

***

# 6
Simulated X-ray powder pattern
Compound: Ba2LaPuO6
Radiation: CuKα
Structure: the PBE geometry in the Materials Project
Lines closer than 0.1° are merged.

Structure:
a = 6.3506 Å, b = 6.3506 Å, c = 6.3506 Å
α = 60.00°, β = 60.00°, γ = 60.00°
Element x y z (fractional)
Ba 0.2500 0.2500 0.2500
Ba 0.7500 0.7500 0.7500
La 0.0000 0.0000 0.0000
Pu 0.5000 0.5000 0.5000
O 0.2624 0.2624 0.7376
O 0.2624 0.7376 0.2624
O 0.2624 0.7376 0.7376
O 0.7376 0.2624 0.2624
O 0.7376 0.2624 0.7376
O 0.7376 0.7376 0.2624

Peak list (10 most intense, 15 to 90 degrees two-theta, low angle first)
d 5.185, 2θ = 17.10°, I 6.2
d 4.491, 2θ = 19.77°, I 6.5
d 3.175, 2θ = 28.10°, I 100.0
d 2.708, 2θ = 33.08°, I 3.2
d 2.245, 2θ = 40.16°, I 28.5
d 1.833, 2θ = 49.73°, I 42.4
d 1.588, 2θ = 58.10°, I 18.6
d 1.420, 2θ = 65.76°, I 19.0
d 1.296, 2θ = 72.98°, I 6.2
d 1.200, 2θ = 79.93°, I 22.3